The following is a theoretical X-ray diffraction stick pattern of FeOF. It was derived from a DFT-relaxed cell (PBE+U, the Materials Project), using Cu Kα (weighted mean of Kα1 and Kα2).
Neutral-atom scattering factors, no anomalous dispersion.

Cell and atoms:
```
data_FeOF
_chemical_formula_sum 'Fe6 O6 F6'
_symmetry_space_group_name_H-M 'P 1 2/m 1'
_symmetry_Int_Tables_number 10
_cell_length_a 4.773
_cell_length_b 3.063
_cell_length_c 14.251
_cell_angle_alpha 90.00
_cell_angle_beta 91.48
_cell_angle_gamma 90.00
loop_
_symmetry_equiv_pos_as_xyz
'x,y,z'
'-x,-y,-z'
'-x,y,-z'
'x,-y,z'
loop_
_atom_site_label
_atom_site_fract_x
_atom_site_fract_y
_atom_site_fract_z
Fe1 0.000 0.000 0.000
Fe2 0.043 0.000 0.334
Fe3 0.404 0.500 0.831
Fe4 0.500 0.500 0.500
O1 0.146 0.500 0.730
O2 0.228 0.500 0.400
O3 0.276 0.000 0.903
F1 0.207 0.500 0.066
F2 0.289 0.000 0.565
F3 0.350 0.000 0.228
```

The 8 most intense peaks (2θ from 10° to 80°), most intense first:
index, 2θ/deg, I/Imax
0 1 3, 34.83, 100
1 0 -3, 26.13, 95
1 0 3, 26.83, 90
1 1 -6, 52.00, 31
0 1 9, 66.48, 27
1 1 6, 52.78, 26
2 1 -3, 51.89, 20
1 1 3, 40.03, 19